# Sr2Cu2Ag
Calculated powder diffraction line list, λ = 1.5418 Å (Cu Kα). Input: a PBE-relaxed structure.
Neutral-atom scattering factors, no anomalous dispersion.

Cell and atoms:
Cell: 5.9290 5.9290 4.4033 Å, 111.72 111.72 62.92°
Positions (direct):
Sr1 0.0000 0.0000 0.0000
Sr2 0.5797 0.5797 0.5808
Cu1 0.5826 0.9973 0.2903
Cu2 0.9973 0.5826 0.2903
Ag1 0.2894 0.2894 0.7900

Principal peaks in the range 15° ≤ 2θ ≤ 90°, in order of rising 2θ:
2θ (°)	I/Imax
31.74	100
32.84	19
36.85	55
39.56	18
40.99	24
53.71	13
62.82	23
69.72	11

=====

# ZnCu2Ag
Calculated powder diffraction line list, λ = 1.5418 Å (Cu Kα). Input: a PBE-relaxed structure.
Neutral-atom scattering factors, no anomalous dispersion.

Cell and atoms:
Cell: 5.4198 5.4198 4.3671 Å, 90.00 90.00 119.79°
Positions (direct):
Zn1 0.1600 0.8400 0.7500
Zn2 0.8400 0.1600 0.2500
Cu1 0.1621 0.3216 0.7500
Cu2 0.3216 0.1621 0.2500
Cu3 0.6784 0.8379 0.7500
Cu4 0.8379 0.6784 0.2500
Ag1 0.3348 0.6652 0.2500
Ag2 0.6652 0.3348 0.7500

Principal peaks in the range 15° ≤ 2θ ≤ 90°, in order of rising 2θ:
2θ (°)	I/Imax
38.27	24
41.35	39
43.72	100
43.83	49
57.63	21
69.36	15
77.07	25
84.07	17

=====

# GdDyGa2Ag2
Calculated powder diffraction line list, λ = 1.5418 Å (Cu Kα). Input: a PBE-relaxed structure.
Neutral-atom scattering factors, no anomalous dispersion.

Cell and atoms:
Cell: 4.6142 4.6142 7.0287 Å, 90.00 90.00 120.00°
Positions (direct):
Gd1 0.0000 0.0000 0.0000
Dy1 0.0000 0.0000 0.5000
Ga1 0.3333 0.6667 0.2162
Ga2 0.3333 0.6667 0.7838
Ag1 0.6667 0.3333 0.2610
Ag2 0.6667 0.3333 0.7390

Principal peaks in the range 15° ≤ 2θ ≤ 90°, in order of rising 2θ:
2θ (°)	I/Imax
22.25	12
33.97	100
39.04	65
52.05	8
52.70	28
66.94	21
67.50	27
70.73	11

=====

# DyHo2Ga3AgPt2
Calculated powder diffraction line list, λ = 1.5418 Å (Cu Kα). Input: a PBE-relaxed structure.
Neutral-atom scattering factors, no anomalous dispersion.

Cell and atoms:
Cell: 3.7105 7.5087 7.5087 Å, 120.06 90.00 90.00°
Positions (direct):
Dy1 0.0000 0.0000 0.0000
Ho1 0.0000 0.1838 0.5919
Ho2 0.0000 0.5919 0.1838
Ga1 0.5000 0.3213 0.3213
Ga2 0.5000 0.5916 0.8628
Ga3 0.5000 0.8628 0.5916
Ag1 0.0000 0.5915 0.5915
Pt1 0.5000 0.2594 0.9249
Pt2 0.5000 0.9249 0.2594

Principal peaks in the range 15° ≤ 2θ ≤ 90°, in order of rising 2θ:
2θ (°)	I/Imax
33.97	100
36.57	31
36.76	92
41.68	52
44.21	27
49.11	22
66.33	26
67.71	30

=====

# DyGaAg2O4
Calculated powder diffraction line list, λ = 1.5418 Å (Cu Kα). Input: a PBE-relaxed structure.
Neutral-atom scattering factors, no anomalous dispersion.

Cell and atoms:
Cell: 3.2416 3.2416 12.5730 Å, 90.00 90.00 120.00°
Positions (direct):
Dy1 0.0000 0.0000 0.0000
Ga1 0.0000 0.0000 0.5000
Ag1 0.3333 0.6667 0.7409
Ag2 0.6667 0.3333 0.2591
O1 0.3333 0.6667 0.5739
O2 0.3333 0.6667 0.9061
O3 0.6667 0.3333 0.0939
O4 0.6667 0.3333 0.4261

Principal peaks in the range 15° ≤ 2θ ≤ 90°, in order of rising 2θ:
2θ (°)	I/Imax
28.39	47
32.68	66
35.01	100
48.61	21
54.66	35
56.80	29
64.71	27
68.48	17

=====

# DyYGa4Ag2
Calculated powder diffraction line list, λ = 1.5418 Å (Cu Kα). Input: a PBE-relaxed structure.
Neutral-atom scattering factors, no anomalous dispersion.

Cell and atoms:
Cell: 6.6369 5.7114 5.7114 Å, 46.83 90.00 90.00°
Positions (direct):
Dy1 0.0000 0.0000 0.0000
Y1 0.5000 0.1864 0.1864
Ga1 0.1986 0.7109 0.7109
Ga2 0.3008 0.4757 0.4757
Ga3 0.6992 0.4757 0.4757
Ga4 0.8014 0.7109 0.7109
Ag1 0.0000 0.2934 0.2934
Ag2 0.5000 0.8931 0.8931

Principal peaks in the range 15° ≤ 2θ ≤ 90°, in order of rising 2θ:
2θ (°)	I/Imax
34.22	20
34.56	100
35.12	95
36.88	29
39.72	49
42.52	38
55.33	27
80.20	16

=====

# GdDy2In3AgPt2
Calculated powder diffraction line list, λ = 1.5418 Å (Cu Kα). Input: a PBE-relaxed structure.
Neutral-atom scattering factors, no anomalous dispersion.

Cell and atoms:
Cell: 3.7830 7.8353 7.8353 Å, 120.10 90.00 90.00°
Positions (direct):
Gd1 0.0000 0.0000 0.0000
Dy1 0.0000 0.1816 0.5909
Dy2 0.0000 0.5909 0.1816
In1 0.5000 0.3229 0.3229
In2 0.5000 0.5903 0.8596
In3 0.5000 0.8596 0.5903
Ag1 0.0000 0.5905 0.5905
Pt1 0.5000 0.2587 0.9238
Pt2 0.5000 0.9238 0.2587

Principal peaks in the range 15° ≤ 2θ ≤ 90°, in order of rising 2θ:
2θ (°)	I/Imax
32.92	100
35.00	42
35.55	92
39.88	54
42.60	27
48.10	23
64.20	26
64.79	34

=====

# Gd2DyIn3AgPt2
Calculated powder diffraction line list, λ = 1.5418 Å (Cu Kα). Input: a PBE-relaxed structure.
Neutral-atom scattering factors, no anomalous dispersion.

Cell and atoms:
Cell: 3.7941 7.8342 7.8342 Å, 119.95 90.00 90.00°
Positions (direct):
Gd1 0.0000 0.2050 0.7950
Gd2 0.0000 0.7950 0.2050
Dy1 0.0000 0.3848 0.3848
In1 0.5000 0.0633 0.0633
In2 0.5000 0.5269 0.7942
In3 0.5000 0.7942 0.5269
Ag1 0.0000 0.7945 0.7945
Pt1 0.5000 0.1299 0.4610
Pt2 0.5000 0.4610 0.1299

Principal peaks in the range 15° ≤ 2θ ≤ 90°, in order of rising 2θ:
2θ (°)	I/Imax
32.86	100
34.98	43
35.49	94
39.85	54
42.54	27
47.95	23
64.06	26
64.72	34